Record 1
Structure and calculated X-ray diffraction stick pattern of Pr3AgO (a structure optimized by DFT (PBE); Cu Ka).
No peak broadening, texture or thermal motion is included.

Crystal structure
abc: 8.9814 6.5010 9.5135
angles: 90.00 114.62 90.00
Fractional coordinates of all 20 atoms:
Pr  0.0631  0.0904  0.3545
Pr  0.0631  0.4096  0.8545
Pr  0.1908  0.5911  0.5482
Pr  0.1908  0.9089  0.0482
Pr  0.3542  0.1086  0.7646
Pr  0.3542  0.3914  0.2646
Pr  0.6458  0.6086  0.7354
Pr  0.6458  0.8914  0.2354
Pr  0.8092  0.0911  0.9518
Pr  0.8092  0.4089  0.4518
Pr  0.9369  0.5904  0.1455
Pr  0.9369  0.9096  0.6455
Ag  0.4031  0.6567  0.9092
Ag  0.4031  0.8433  0.4092
Ag  0.5969  0.1567  0.5908
Ag  0.5969  0.3433  0.0908
O  0.0771  0.2468  0.6105
O  0.0771  0.2532  0.1105
O  0.9229  0.7468  0.8895
O  0.9229  0.7532  0.3895

The 12 most intense peaks (2θ = 15–90°), in order of rising 2θ:
| 2θ (°) | Rel. int. |
| --- | --- |
| 29.8 | 75.7 |
| 30.4 | 67.5 |
| 30.7 | 96.7 |
| 31.1 | 80.5 |
| 31.4 | 100.0 |
| 34.1 | 90.8 |
| 40.7 | 37.0 |
| 41.1 | 21.2 |
| 50.4 | 31.2 |
| 55.3 | 24.2 |
| 57.8 | 20.5 |
| 60.6 | 22.7 |

Record 2
Structure and calculated X-ray diffraction stick pattern of PrPuAg2O6 (a structure optimized by DFT (PBE); Cu Ka).
No peak broadening, texture or thermal motion is included.

Crystal structure
abc: 5.8520 5.9742 10.2546
angles: 90.00 123.87 90.00
Fractional coordinates of all 20 atoms:
Pr  0.0000  0.0000  0.0000
Pr  0.0000  0.5000  0.5000
Pu  0.5000  0.0000  0.5000
Pu  0.5000  0.5000  0.0000
Ag  0.2536  0.0315  0.7542
Ag  0.2536  0.4685  0.2542
Ag  0.7464  0.5315  0.7458
Ag  0.7464  0.9685  0.2458
O  0.1692  0.0472  0.2713
O  0.1692  0.4528  0.7713
O  0.2638  0.6666  0.0545
O  0.2638  0.8334  0.5545
O  0.3987  0.2095  0.0569
O  0.3987  0.2905  0.5569
O  0.6013  0.7095  0.4431
O  0.6013  0.7905  0.9431
O  0.7362  0.1666  0.4455
O  0.7362  0.3334  0.9455
O  0.8308  0.5472  0.2287
O  0.8308  0.9528  0.7287

The 12 most intense peaks (2θ = 15–90°), in order of rising 2θ:
| 2θ (°) | Rel. int. |
| --- | --- |
| 21.3 | 20.6 |
| 29.8 | 100.0 |
| 29.9 | 49.5 |
| 30.1 | 96.6 |
| 30.6 | 47.2 |
| 42.5 | 24.3 |
| 43.3 | 42.9 |
| 52.8 | 34.8 |
| 53.0 | 19.1 |
| 53.2 | 20.1 |
| 53.6 | 31.9 |
| 54.3 | 23.3 |

Record 3
Structure and calculated X-ray diffraction stick pattern of PrSi2AgO6 (a structure optimized by DFT (PBE); Cu Ka).
No peak broadening, texture or thermal motion is included.

Crystal structure
abc: 6.7686 6.7686 6.9574
angles: 98.14 98.14 112.43
Fractional coordinates of all 20 atoms:
Pr  0.0925  0.9075  0.7500
Pr  0.9075  0.0925  0.2500
Si  0.0030  0.3317  0.8739
Si  0.3317  0.0030  0.3739
Si  0.6683  0.9970  0.6261
Si  0.9970  0.6683  0.1261
Ag  0.4917  0.5083  0.7500
Ag  0.5083  0.4917  0.2500
O  0.0214  0.4353  0.1456
O  0.0931  0.7965  0.3916
O  0.2035  0.9069  0.1084
O  0.2327  0.2977  0.9002
O  0.2977  0.2327  0.4002
O  0.4353  0.0214  0.6456
O  0.5647  0.9786  0.3544
O  0.7023  0.7673  0.5998
O  0.7673  0.7023  0.0998
O  0.7965  0.0931  0.8916
O  0.9069  0.2035  0.6084
O  0.9786  0.5647  0.8544

The 12 most intense peaks (2θ = 15–90°), in order of rising 2θ:
| 2θ (°) | Rel. int. |
| --- | --- |
| 15.8 | 71.9 |
| 21.6 | 43.6 |
| 24.5 | 50.1 |
| 26.5 | 75.1 |
| 26.7 | 100.0 |
| 28.5 | 44.9 |
| 29.2 | 57.3 |
| 31.0 | 38.7 |
| 31.3 | 91.5 |
| 35.2 | 34.4 |
| 42.0 | 38.9 |
| 46.0 | 34.4 |

Record 4
Structure and calculated X-ray diffraction stick pattern of PrAg2TeO6 (a structure optimized by DFT (PBE); Cu Ka).
No peak broadening, texture or thermal motion is included.

Crystal structure
abc: 5.6675 5.9678 9.9782
angles: 90.00 123.61 90.00
Fractional coordinates of all 20 atoms:
Pr  0.0000  0.0000  0.0000
Pr  0.0000  0.5000  0.5000
Ag  0.2464  0.0589  0.7325
Ag  0.2464  0.4411  0.2325
Ag  0.7536  0.5589  0.7675
Ag  0.7536  0.9411  0.2675
Te  0.5000  0.0000  0.5000
Te  0.5000  0.5000  0.0000
O  0.1561  0.0702  0.2827
O  0.1561  0.4298  0.7827
O  0.2831  0.6856  0.0528
O  0.2831  0.8144  0.5528
O  0.4105  0.2405  0.0844
O  0.4105  0.2595  0.5844
O  0.5895  0.7405  0.4156
O  0.5895  0.7595  0.9156
O  0.7169  0.1856  0.4472
O  0.7169  0.3144  0.9472
O  0.8439  0.5702  0.2173
O  0.8439  0.9298  0.7173

The 12 most intense peaks (2θ = 15–90°), in order of rising 2θ:
| 2θ (°) | Rel. int. |
| --- | --- |
| 29.9 | 40.2 |
| 30.4 | 100.0 |
| 30.8 | 95.1 |
| 31.6 | 42.1 |
| 43.6 | 21.1 |
| 44.1 | 38.4 |
| 53.5 | 12.1 |
| 53.7 | 32.3 |
| 54.3 | 12.5 |
| 55.3 | 29.7 |
| 56.0 | 21.3 |
| 63.3 | 12.8 |

Record 5
Structure and calculated X-ray diffraction stick pattern of PrUAgO6 (a structure optimized by DFT (PBE); Cu Ka).
No peak broadening, texture or thermal motion is included.

Crystal structure
abc: 5.9662 5.9662 4.5023
angles: 90.00 90.00 120.00
Fractional coordinates of all 9 atoms:
Pr  0.0000  0.0000  0.0000
U  0.3333  0.6667  0.0000
Ag  0.6667  0.3333  0.5000
O  0.0328  0.3738  0.2365
O  0.0328  0.6591  0.7635
O  0.3409  0.3738  0.7635
O  0.3409  0.9672  0.2365
O  0.6262  0.6591  0.2365
O  0.6262  0.9672  0.7635

The 12 most intense peaks (2θ = 15–90°), in order of rising 2θ:
| 2θ (°) | Rel. int. |
| --- | --- |
| 17.2 | 18.6 |
| 19.7 | 24.2 |
| 26.3 | 100.0 |
| 30.0 | 71.1 |
| 36.1 | 32.7 |
| 40.2 | 32.1 |
| 50.8 | 47.8 |
| 51.0 | 32.6 |
| 53.2 | 23.4 |
| 68.6 | 12.7 |
| 68.7 | 13.5 |
| 76.6 | 13.8 |